Theoretical X-ray powder pattern
Compound: Na3CoBPO7
Radiation: a wavelength of 1.5418 Å
Structure: a PBE+U-relaxed structure
Intensities are scaled so that the largest is 100.

Top 10 peaks for 10° ≤ 2θ ≤ 90°, sorted by position:
| d_spacing | 2θ (°) | I (rel.) |
| --- | --- | --- |
| 5.351 | 16.57 | 44.3 |
| 4.462 | 19.90 | 35.3 |
| 3.443 | 25.88 | 34.3 |
| 3.346 | 26.64 | 100.0 |
| 2.701 | 33.17 | 52.8 |
| 2.677 | 33.48 | 82.8 |
| 2.620 | 34.22 | 91.0 |
| 2.164 | 41.73 | 42.3 |
| 1.856 | 49.08 | 35.2 |
| 1.673 | 54.88 | 35.3 |

Structure:
Cell: 6.692 10.216 10.468 Å, 119.06 90.06 90.01°
Space group P1 (No. 1)
Symmetry-distinct sites (fractional):
Na (0.000, 0.000, 0.000)
Na (0.001, 0.499, 0.495)
Na (0.004, 0.990, 0.500)
Na (0.009, 0.489, 0.005)
Na (0.253, 0.838, 0.170)
Na (0.257, 0.336, 0.668)
Na (0.500, 0.489, 0.004)
Na (0.503, 0.991, 0.502)
Na (0.507, 0.999, 0.997)
Na (0.508, 0.501, 0.498)
Na (0.753, 0.652, 0.827)
Na (0.755, 0.160, 0.338)
Co (0.251, 0.780, 0.695)
Co (0.257, 0.279, 0.195)
Co (0.754, 0.710, 0.306)
Co (0.756, 0.212, 0.808)
B (0.252, 0.165, 0.354)
B (0.255, 0.665, 0.854)
B (0.753, 0.329, 0.652)
B (0.753, 0.830, 0.152)
P (0.253, 0.142, 0.821)
P (0.255, 0.642, 0.321)
P (0.754, 0.347, 0.182)
P (0.754, 0.847, 0.678)
O (0.068, 0.221, 0.801)
O (0.070, 0.723, 0.302)
O (0.249, 0.085, 0.200)
O (0.253, 0.599, 0.939)
O (0.253, 0.819, 0.905)
O (0.253, 0.972, 0.696)
O (0.254, 0.099, 0.438)
O (0.254, 0.146, 0.969)
O (0.254, 0.319, 0.405)
O (0.254, 0.645, 0.470)
O (0.255, 0.473, 0.196)
O (0.259, 0.586, 0.700)
O (0.438, 0.222, 0.801)
O (0.440, 0.723, 0.303)
O (0.568, 0.266, 0.200)
O (0.569, 0.768, 0.699)
O (0.749, 0.407, 0.806)
O (0.752, 0.880, 0.054)
O (0.752, 0.916, 0.302)
O (0.753, 0.174, 0.599)
O (0.753, 0.345, 0.034)
O (0.754, 0.016, 0.801)
O (0.754, 0.841, 0.527)
O (0.756, 0.396, 0.568)
O (0.756, 0.513, 0.309)
O (0.756, 0.675, 0.109)
O (0.938, 0.263, 0.198)
O (0.939, 0.768, 0.699)

Theoretical X-ray powder pattern
Compound: Li5Mn3O8
Radiation: a wavelength of 1.5418 Å
Structure: a PBE+U-relaxed structure
Intensities are scaled so that the largest is 100.

Top 10 peaks for 10° ≤ 2θ ≤ 90°, sorted by position:
| d_spacing | 2θ (°) | I (rel.) |
| --- | --- | --- |
| 5.922 | 14.96 | 15.1 |
| 4.823 | 18.40 | 100.0 |
| 4.741 | 18.72 | 9.5 |
| 3.370 | 26.45 | 11.4 |
| 2.546 | 35.25 | 13.6 |
| 2.478 | 36.25 | 11.5 |
| 2.461 | 36.51 | 11.7 |
| 2.127 | 42.49 | 33.8 |
| 2.049 | 44.19 | 61.0 |
| 1.481 | 62.76 | 8.4 |

Structure:
Cell: 5.004 5.090 5.926 Å, 91.23 91.24 108.57°
Space group P1 (No. 1)
Symmetry-distinct sites (fractional):
Li (0.000, 0.000, 0.000)
Li (0.000, 0.003, 0.533)
Li (0.000, 0.495, 0.763)
Li (0.486, 0.991, 0.776)
Li (0.510, 0.004, 0.263)
Mn (0.004, 0.510, 0.259)
Mn (0.499, 0.501, 0.520)
Mn (0.501, 0.499, 0.006)
O (0.250, 0.732, 0.497)
O (0.254, 0.721, 0.030)
O (0.265, 0.291, 0.257)
O (0.267, 0.254, 0.785)
O (0.715, 0.728, 0.773)
O (0.751, 0.281, 0.025)
O (0.767, 0.290, 0.487)
O (0.767, 0.738, 0.240)

Theoretical X-ray powder pattern
Compound: LiV6O11F
Radiation: a wavelength of 1.5418 Å
Structure: a PBE+U-relaxed structure
Intensities are scaled so that the largest is 100.

Top 10 peaks for 10° ≤ 2θ ≤ 90°, sorted by position:
| d_spacing | 2θ (°) | I (rel.) |
| --- | --- | --- |
| 3.931 | 22.62 | 100.0 |
| 3.205 | 27.83 | 90.2 |
| 2.499 | 35.94 | 28.0 |
| 2.492 | 36.05 | 30.2 |
| 2.332 | 38.60 | 20.7 |
| 2.320 | 38.81 | 15.6 |
| 1.861 | 48.94 | 14.3 |
| 1.852 | 49.19 | 13.5 |
| 1.678 | 54.71 | 41.5 |
| 1.603 | 57.50 | 13.2 |

Structure:
Cell: 7.862 6.411 8.657 Å, 90.00 90.30 90.00°
Space group Cm (No. 8)
Symmetry-distinct sites (fractional):
Li (0.000, 0.000, 0.000)
V (0.118, 0.000, 0.499)
V (0.174, 0.500, 0.000)
V (0.206, 0.500, 0.670)
V (0.215, 0.500, 0.324)
V (0.272, 0.000, 0.823)
V (0.277, 0.000, 0.177)
O (0.005, 0.500, 0.177)
O (0.193, 0.187, 0.662)
O (0.197, 0.188, 0.335)
O (0.199, 0.183, 0.003)
O (0.346, 0.500, 0.843)
O (0.358, 0.500, 0.172)
O (0.390, 0.500, 0.495)
O (0.496, 0.000, 0.826)
F (0.041, 0.500, 0.490)

Theoretical X-ray powder pattern
Compound: Li2TiMn2NiO8
Radiation: a wavelength of 1.5418 Å
Structure: a PBE+U-relaxed structure
Intensities are scaled so that the largest is 100.

Top 10 peaks for 10° ≤ 2θ ≤ 90°, sorted by position:
| d_spacing | 2θ (°) | I (rel.) |
| --- | --- | --- |
| 4.900 | 18.11 | 32.8 |
| 4.807 | 18.46 | 100.0 |
| 2.541 | 35.32 | 10.1 |
| 2.527 | 35.53 | 10.9 |
| 2.515 | 35.71 | 28.7 |
| 2.403 | 37.42 | 10.0 |
| 2.101 | 43.06 | 24.6 |
| 2.086 | 43.37 | 48.5 |
| 1.490 | 62.30 | 14.4 |
| 1.471 | 63.24 | 14.5 |

Structure:
Cell: 10.204 5.855 5.950 Å, 90.00 124.56 90.00°
Space group C2/m (No. 12)
Symmetry-distinct sites (fractional):
Li (0.116, 0.000, 0.359)
Ti (0.000, 0.500, 0.000)
Mn (0.250, 0.250, 0.000)
Ni (0.000, 0.500, 0.500)
O (0.021, 0.269, 0.783)
O (0.241, 0.500, 0.214)
O (0.245, 0.500, 0.782)

Theoretical X-ray powder pattern
Compound: CrAg2O4
Radiation: a wavelength of 1.5418 Å
Structure: a PBE+U-relaxed structure
Intensities are scaled so that the largest is 100.

Top 10 peaks for 10° ≤ 2θ ≤ 90°, sorted by position:
| d_spacing | 2θ (°) | I (rel.) |
| --- | --- | --- |
| 2.929 | 30.52 | 100.0 |
| 2.899 | 30.85 | 52.3 |
| 2.871 | 31.15 | 94.4 |
| 2.847 | 31.42 | 39.7 |
| 2.070 | 43.72 | 25.3 |
| 2.031 | 44.61 | 26.8 |
| 1.674 | 54.83 | 24.5 |
| 1.659 | 55.37 | 16.9 |
| 1.648 | 55.77 | 22.1 |
| 1.507 | 61.53 | 23.2 |

Structure:
Cell: 10.248 7.030 5.694 Å, 90.00 90.00 90.00°
Space group Pnma (No. 62)
Symmetry-distinct sites (fractional):
Cr (0.182, 0.250, 0.041)
Ag (0.000, 0.000, 0.500)
Ag (0.144, 0.750, 0.020)
O (0.114, 0.055, 0.161)
O (0.155, 0.250, 0.752)
O (0.155, 0.750, 0.601)

Theoretical X-ray powder pattern
Compound: Li7Co5O12
Radiation: a wavelength of 1.5418 Å
Structure: a PBE+U-relaxed structure
Intensities are scaled so that the largest is 100.

Top 10 peaks for 10° ≤ 2θ ≤ 90°, sorted by position:
| d_spacing | 2θ (°) | I (rel.) |
| --- | --- | --- |
| 4.810 | 18.45 | 100.0 |
| 2.504 | 35.86 | 14.4 |
| 2.475 | 36.29 | 14.0 |
| 2.464 | 36.46 | 12.9 |
| 2.088 | 43.34 | 29.4 |
| 2.060 | 43.96 | 27.6 |
| 2.048 | 44.23 | 27.0 |
| 1.471 | 63.21 | 7.5 |
| 1.467 | 63.40 | 7.5 |
| 1.461 | 63.68 | 14.8 |

Structure:
Cell: 5.090 5.775 7.751 Å, 79.06 78.12 73.23°
Space group P-1 (No. 2)
Symmetry-distinct sites (fractional):
Li (0.000, 0.000, 0.000)
Li (0.000, 0.161, 0.339)
Li (0.000, 0.500, 0.000)
Li (0.002, 0.331, 0.662)
Li (0.500, 0.000, 0.500)
Co (0.498, 0.328, 0.175)
Co (0.500, 0.166, 0.828)
Co (0.500, 0.500, 0.500)
O (0.264, 0.165, 0.082)
O (0.269, 0.991, 0.762)
O (0.273, 0.499, 0.732)
O (0.276, 0.808, 0.415)
O (0.279, 0.656, 0.084)
O (0.281, 0.347, 0.415)

Theoretical X-ray powder pattern
Compound: Ti3Mn2CrP6O24
Radiation: a wavelength of 1.5418 Å
Structure: a PBE+U-relaxed structure
Intensities are scaled so that the largest is 100.

Top 10 peaks for 10° ≤ 2θ ≤ 90°, sorted by position:
| d_spacing | 2θ (°) | I (rel.) |
| --- | --- | --- |
| 4.327 | 20.52 | 71.1 |
| 3.689 | 24.13 | 100.0 |
| 3.533 | 25.21 | 15.4 |
| 2.808 | 31.87 | 16.0 |
| 2.734 | 32.75 | 68.7 |
| 2.498 | 35.94 | 30.7 |
| 1.934 | 46.99 | 26.0 |
| 1.844 | 49.41 | 24.8 |
| 1.635 | 56.25 | 33.1 |
| 1.484 | 62.60 | 16.9 |

Structure:
Cell: 8.6555 8.6555 21.1635 Å, 90.00 90.00 120.00°
Space group R3 (No. 146, hexagonal axes)
Symmetry-distinct sites (fractional):
Ti (0.0000, 0.0000, 0.0000)
Ti (0.0000, 0.0000, 0.2104)
Ti (0.0000, 0.0000, 0.5008)
Mn (0.0000, 0.0000, 0.3545)
Mn (0.0000, 0.0000, 0.8560)
Cr (0.0000, 0.0000, 0.7130)
P (0.9997, 0.2900, 0.6067)
P (0.0405, 0.6678, 0.7719)
O (0.0008, 0.1895, 0.5459)
O (0.0011, 0.8083, 0.0454)
O (0.0197, 0.1854, 0.2757)
O (0.0208, 0.8353, 0.7771)
O (0.1413, 0.4702, 0.3328)
O (0.1414, 0.6673, 0.8318)
O (0.1681, 0.4793, 0.6009)
O (0.1689, 0.6876, 0.1012)